Calculated powder XRD pattern
Compound: CaEuZrNbO6
Radiation: a wavelength of 1.5418 Å
Structure: DFT lattice parameters and positions (GGA-PBE)

Atomic structure:
```
data_CaEuZrNbO6
_chemical_formula_sum 'Ca4 Eu4 Zr4 Nb4 O24'
_symmetry_space_group_name_H-M 'F -4 3 m'
_symmetry_Int_Tables_number 216
_symmetry_space_group_name_Hall 'F -4 2 3'
_cell_length_a 8.2408
_cell_length_b 8.2408
_cell_length_c 8.2408
_cell_angle_alpha 90.00
_cell_angle_beta 90.00
_cell_angle_gamma 90.00
loop_
_atom_site_label
_atom_site_fract_x
_atom_site_fract_y
_atom_site_fract_z
_atom_site_occupancy
Ca1 0.0000 0.0000 0.0000 1
Eu1 0.0000 0.0000 0.5000 1
Zr1 0.2500 0.2500 0.2500 1
Nb1 0.2500 0.2500 0.7500 1
O1 0.0040 0.2500 0.7500 1
```

Largest 10 diffraction maxima, in order of rising 2θ, 2θ from 10° to 90°:
- 2θ = 18.65°, I = 21
- 2θ = 30.69°, I = 100
- 2θ = 36.15°, I = 13
- 2θ = 43.95°, I = 34
- 2θ = 48.13°, I = 6
- 2θ = 54.55°, I = 39
- 2θ = 63.90°, I = 20
- 2θ = 72.55°, I = 17
- 2θ = 80.80°, I = 7
- 2θ = 88.86°, I = 21

***

Calculated powder XRD pattern
Compound: CaNdEuSbO6
Radiation: a wavelength of 1.5418 Å
Structure: DFT lattice parameters and positions (GGA-PBE)

Atomic structure:
```
data_CaNdEuSbO6
_chemical_formula_sum 'Ca2 Nd2 Eu2 Sb2 O12'
_symmetry_space_group_name_H-M 'P -4 n 2'
_symmetry_Int_Tables_number 118
_symmetry_space_group_name_Hall 'P -4 -2n'
_cell_length_a 5.8989
_cell_length_b 5.8989
_cell_length_c 8.5683
_cell_angle_alpha 90.00
_cell_angle_beta 90.00
_cell_angle_gamma 90.00
loop_
_atom_site_label
_atom_site_fract_x
_atom_site_fract_y
_atom_site_fract_z
_atom_site_occupancy
Ca1 0.0000 0.5000 0.2500 1
Nd1 0.0000 0.0000 0.0000 1
Eu1 0.0000 0.5000 0.7500 1
Sb1 0.0000 0.0000 0.5000 1
O1 0.0000 0.0000 0.2664 1
O2 0.1520 0.3061 0.4921 1
```

Largest 10 diffraction maxima, in order of rising 2θ, 2θ from 10° to 90°:
- 2θ = 18.26°, I = 22
- 2θ = 29.90°, I = 100
- 2θ = 30.30°, I = 59
- 2θ = 42.19°, I = 17
- 2θ = 43.39°, I = 27
- 2θ = 52.82°, I = 24
- 2θ = 53.58°, I = 47
- 2θ = 62.12°, I = 18
- 2θ = 85.67°, I = 12
- 2θ = 86.69°, I = 14

***

Calculated powder XRD pattern
Compound: CaNdEuSbO6
Radiation: a wavelength of 1.5418 Å
Structure: DFT lattice parameters and positions (GGA-PBE)

Atomic structure:
```
data_CaNdEuSbO6
_chemical_formula_sum 'Ca4 Nd4 Eu4 Sb4 O24'
_symmetry_space_group_name_H-M 'F -4 3 m'
_symmetry_Int_Tables_number 216
_symmetry_space_group_name_Hall 'F -4 2 3'
_cell_length_a 8.5318
_cell_length_b 8.5318
_cell_length_c 8.5318
_cell_angle_alpha 90.00
_cell_angle_beta 90.00
_cell_angle_gamma 90.00
loop_
_atom_site_label
_atom_site_fract_x
_atom_site_fract_y
_atom_site_fract_z
_atom_site_occupancy
Ca1 0.0000 0.0000 0.0000 1
Nd1 0.2500 0.2500 0.7500 1
Eu1 0.0000 0.0000 0.5000 1
Sb1 0.2500 0.2500 0.2500 1
O1 0.0170 0.2500 0.2500 1
```

Largest 10 diffraction maxima, in order of rising 2θ, 2θ from 10° to 90°:
- 2θ = 18.01°, I = 14
- 2θ = 20.82°, I = 8
- 2θ = 29.62°, I = 100
- 2θ = 34.88°, I = 9
- 2θ = 42.38°, I = 31
- 2θ = 52.55°, I = 40
- 2θ = 61.48°, I = 19
- 2θ = 69.71°, I = 18
- 2θ = 77.51°, I = 6
- 2θ = 85.09°, I = 21

***

Calculated powder XRD pattern
Compound: Ca2EuZn9Ni6
Radiation: a wavelength of 1.5418 Å
Structure: DFT lattice parameters and positions (GGA-PBE)

Atomic structure:
```
data_Ca2EuZn9Ni6
_chemical_formula_sum 'Ca2 Eu1 Zn9 Ni6'
_symmetry_space_group_name_H-M 'P 6/m m m'
_symmetry_Int_Tables_number 191
_symmetry_space_group_name_Hall '-P 6 2'
_cell_length_a 9.1548
_cell_length_b 9.1548
_cell_length_c 4.1819
_cell_angle_alpha 90.00
_cell_angle_beta 90.00
_cell_angle_gamma 120.00
loop_
_atom_site_label
_atom_site_fract_x
_atom_site_fract_y
_atom_site_fract_z
_atom_site_occupancy
Ca1 0.3333 0.6667 0.0000 1
Eu1 0.0000 0.0000 0.5000 1
Zn1 0.0000 0.2929 0.0000 1
Zn2 0.0000 0.5000 0.5000 1
Ni1 0.1815 0.3630 0.5000 1
```

Largest 10 diffraction maxima, in order of rising 2θ, 2θ from 10° to 90°:
- 2θ = 11.16°, I = 36
- 2θ = 31.09°, I = 45
- 2θ = 33.92°, I = 24
- 2θ = 36.90°, I = 57
- 2θ = 39.37°, I = 44
- 2θ = 40.37°, I = 51
- 2θ = 43.27°, I = 46
- 2θ = 45.16°, I = 100
- 2θ = 59.92°, I = 24
- 2θ = 80.71°, I = 17

***

Calculated powder XRD pattern
Compound: CaEu2O3
Radiation: a wavelength of 1.5418 Å
Structure: DFT lattice parameters and positions (GGA-PBE)

Atomic structure:
```
data_CaEu2O3
_chemical_formula_sum 'Ca4 Eu8 O12'
_symmetry_space_group_name_H-M 'C m c m'
_symmetry_Int_Tables_number 63
_symmetry_space_group_name_Hall '-C 2c 2'
_cell_length_a 10.3990
_cell_length_b 5.9978
_cell_length_c 5.9948
_cell_angle_alpha 90.00
_cell_angle_beta 90.00
_cell_angle_gamma 90.00
loop_
_atom_site_label
_atom_site_fract_x
_atom_site_fract_y
_atom_site_fract_z
_atom_site_occupancy
Ca1 0.0000 0.1645 0.2500 1
Eu1 0.1665 0.3331 0.7500 1
O1 0.0000 0.5000 0.0000 1
O2 0.1605 0.0000 0.0000 1
```

Largest 10 diffraction maxima, in order of rising 2θ, 2θ from 10° to 90°:
- 2θ = 17.06°, I = 15
- 2θ = 22.65°, I = 17
- 2θ = 29.80°, I = 33
- 2θ = 33.40°, I = 100
- 2θ = 42.64°, I = 27
- 2θ = 52.85°, I = 22
- 2θ = 55.23°, I = 23
- 2θ = 61.87°, I = 24
- 2θ = 63.97°, I = 15
- 2θ = 87.55°, I = 13

***

Calculated powder XRD pattern
Compound: CaEu2O3
Radiation: a wavelength of 1.5418 Å
Structure: DFT lattice parameters and positions (GGA-PBE)

Atomic structure:
```
data_CaEu2O3
_chemical_formula_sum 'Ca4 Eu8 O12'
_symmetry_space_group_name_H-M 'C 1 2/c 1'
_symmetry_Int_Tables_number 15
_symmetry_space_group_name_Hall '-C 2yc'
_cell_length_a 6.1391
_cell_length_b 10.6856
_cell_length_c 6.1224
_cell_angle_alpha 90.00
_cell_angle_beta 109.25
_cell_angle_gamma 90.00
loop_
_atom_site_label
_atom_site_fract_x
_atom_site_fract_y
_atom_site_fract_z
_atom_site_occupancy
Ca1 0.0000 0.0821 0.2500 1
Eu1 0.0000 0.2490 0.7500 1
Eu2 0.0000 0.4168 0.2500 1
O1 0.2406 0.0804 0.0004 1
O2 0.2500 0.2500 0.5000 1
```

Largest 10 diffraction maxima, in order of rising 2θ, 2θ from 10° to 90°:
- 2θ = 17.41°, I = 23
- 2θ = 30.83°, I = 100
- 2θ = 30.94°, I = 31
- 2θ = 35.71°, I = 76
- 2θ = 35.93°, I = 37
- 2θ = 51.50°, I = 38
- 2θ = 51.62°, I = 25
- 2θ = 61.10°, I = 19
- 2θ = 61.42°, I = 15
- 2θ = 64.24°, I = 19

***

Calculated powder XRD pattern
Compound: CaSmEuSbO6
Radiation: a wavelength of 1.5418 Å
Structure: DFT lattice parameters and positions (GGA-PBE)

Atomic structure:
```
data_CaSmEuSbO6
_chemical_formula_sum 'Ca4 Sm4 Eu4 Sb4 O24'
_symmetry_space_group_name_H-M 'P 2 2 2'
_symmetry_Int_Tables_number 16
_symmetry_space_group_name_Hall 'P 2 2'
_cell_length_a 8.4231
_cell_length_b 8.4364
_cell_length_c 8.4447
_cell_angle_alpha 90.00
_cell_angle_beta 90.00
_cell_angle_gamma 90.00
loop_
_atom_site_label
_atom_site_fract_x
_atom_site_fract_y
_atom_site_fract_z
_atom_site_occupancy
Ca1 0.0000 0.0000 0.0000 1
Ca2 0.0000 0.5000 0.0000 1
Ca3 0.5000 0.0000 0.0000 1
Ca4 0.5000 0.5000 0.5000 1
Sm1 0.2500 0.2500 0.7513 1
Eu1 0.0000 0.0000 0.5000 1
Eu2 0.0000 0.5000 0.5000 1
Eu3 0.5000 0.0000 0.5000 1
Eu4 0.5000 0.5000 0.0000 1
Sb1 0.2500 0.2501 0.2481 1
O1 0.0175 0.2014 0.2873 1
O2 0.1974 0.2934 0.0169 1
O3 0.2136 0.4829 0.2977 1
O4 0.2924 0.0177 0.1967 1
O5 0.2963 0.2124 0.4820 1
O6 0.4830 0.2978 0.2123 1
```

Largest 10 diffraction maxima, in order of rising 2θ, 2θ from 10° to 90°:
- 2θ = 21.07°, I = 7
- 2θ = 29.96°, I = 100
- 2θ = 42.86°, I = 18
- 2θ = 42.95°, I = 9
- 2θ = 53.20°, I = 45
- 2θ = 62.27°, I = 16
- 2θ = 70.58°, I = 12
- 2θ = 70.72°, I = 6
- 2θ = 86.27°, I = 15
- 2θ = 86.38°, I = 7

***

Calculated powder XRD pattern
Compound: CaSmEuSbO6
Radiation: a wavelength of 1.5418 Å
Structure: DFT lattice parameters and positions (GGA-PBE)

Atomic structure:
```
data_CaSmEuSbO6
_chemical_formula_sum 'Ca4 Sm4 Eu4 Sb4 O24'
_symmetry_space_group_name_H-M 'F -4 3 m'
_symmetry_Int_Tables_number 216
_symmetry_space_group_name_Hall 'F -4 2 3'
_cell_length_a 8.4636
_cell_length_b 8.4636
_cell_length_c 8.4636
_cell_angle_alpha 90.00
_cell_angle_beta 90.00
_cell_angle_gamma 90.00
loop_
_atom_site_label
_atom_site_fract_x
_atom_site_fract_y
_atom_site_fract_z
_atom_site_occupancy
Ca1 0.0000 0.0000 0.0000 1
Sm1 0.2500 0.2500 0.7500 1
Eu1 0.0000 0.0000 0.5000 1
Sb1 0.2500 0.2500 0.2500 1
O1 0.0153 0.2500 0.2500 1
```

Largest 10 diffraction maxima, in order of rising 2θ, 2θ from 10° to 90°:
- 2θ = 18.15°, I = 14
- 2θ = 20.99°, I = 8
- 2θ = 29.86°, I = 100
- 2θ = 35.17°, I = 9
- 2θ = 42.73°, I = 31
- 2θ = 53.00°, I = 40
- 2θ = 62.03°, I = 19
- 2θ = 70.35°, I = 18
- 2θ = 78.26°, I = 6
- 2θ = 85.94°, I = 21

***

Calculated powder XRD pattern
Compound: SrCaEuSbO6
Radiation: a wavelength of 1.5418 Å
Structure: DFT lattice parameters and positions (GGA-PBE)

Atomic structure:
```
data_SrCaEuSbO6
_chemical_formula_sum 'Sr4 Ca4 Eu4 Sb4 O24'
_symmetry_space_group_name_H-M 'F -4 3 m'
_symmetry_Int_Tables_number 216
_symmetry_space_group_name_Hall 'F -4 2 3'
_cell_length_a 8.4436
_cell_length_b 8.4436
_cell_length_c 8.4436
_cell_angle_alpha 90.00
_cell_angle_beta 90.00
_cell_angle_gamma 90.00
loop_
_atom_site_label
_atom_site_fract_x
_atom_site_fract_y
_atom_site_fract_z
_atom_site_occupancy
Sr1 0.0000 0.0000 0.0000 1
Ca1 0.0000 0.0000 0.5000 1
Eu1 0.2500 0.2500 0.2500 1
Sb1 0.2500 0.2500 0.7500 1
O1 0.0147 0.2500 0.7500 1
```

Largest 10 diffraction maxima, in order of rising 2θ, 2θ from 10° to 90°:
- 2θ = 21.04°, I = 27
- 2θ = 29.93°, I = 100
- 2θ = 42.84°, I = 33
- 2θ = 48.20°, I = 12
- 2θ = 53.14°, I = 40
- 2θ = 62.19°, I = 20
- 2θ = 66.43°, I = 5
- 2θ = 70.54°, I = 18
- 2θ = 78.48°, I = 7
- 2θ = 86.20°, I = 21